Structure and computed powder diffraction line list of Tb5CdCu4 (the PBE geometry in Alexandria; Cu Kα, 1.54184 Å).

Most intense lines, 2θ = 10–90°, low angle first:
(1 0 0), 2θ 25.4, 3.501 Å, intensity 15
(1 0 5), 2θ 35.7, 2.518 Å, intensity 100
(1 1 0), 2θ 36.3, 2.475 Å, intensity 54
(2 0 0), 2θ 52.3, 1.750 Å, intensity 19
(1 1 10), 2θ 63.6, 1.462 Å, intensity 12
(2 1 5), 2θ 64.9, 1.437 Å, intensity 34

Crystal structure
Unit cell a=3.501 b=3.501 c=18.121 alpha=90.00 beta=90.00 gamma=90.00
Space group P4/mmm (No. 123)
Unique sites:
Tb 0.000 0.000 0.000
Tb 0.000 0.000 0.192
Tb 0.000 0.000 0.382
Cd 0.500 0.500 0.500
Cu 0.500 0.500 0.096
Cu 0.500 0.500 0.289



Structure and computed powder diffraction line list of MnFeH3 (the PBE geometry in Alexandria; Cu Kα, 1.54184 Å).

Most intense lines, 2θ = 10–90°, low angle first:
(1 1 1), 2θ 30.0, 2.977 Å, intensity 14
(2 0 1), 2θ 39.1, 2.306 Å, intensity 100
(2 1 1), 2θ 43.0, 2.105 Å, intensity 54
(3 1 1), 2θ 59.5, 1.554 Å, intensity 11
(3 2 1), 2θ 68.0, 1.378 Å, intensity 32
(4 1 2), 2θ 86.5, 1.125 Å, intensity 13

Crystal structure
Unit cell a=5.155 b=5.155 c=5.155 alpha=90.00 beta=90.00 gamma=90.00
Space group P2_13 (No. 198)
Unique sites:
Mn 0.111 0.389 0.611
Fe 0.098 0.902 0.402
H 0.030 0.702 0.146